Theoretical PXRD pattern of La6CeNdTm2 for Cu Ka, from a structure optimized by DFT (PBE).
Intensities are scaled so that the largest is 100.

Structure:
```
data_La6CeNdTm2
_cell_length_a 6.9970
_cell_length_b 6.9970
_cell_length_c 9.0521
_cell_angle_alpha 107.48
_cell_angle_beta 107.48
_cell_angle_gamma 58.55
_space_group_name_H-M_alt 'P 1'
_space_group_IT_number 1
loop_
_space_group_symop_operation_xyz
'x,y,z'
loop_
_atom_site_label
_atom_site_fract_x
_atom_site_fract_y
_atom_site_fract_z
La1 0.0918 0.6121 0.6887
La2 0.1638 0.1638 0.9180
La3 0.3879 0.9082 0.3113
La4 0.6121 0.0918 0.6887
La5 0.8362 0.8362 0.0820
La6 0.9082 0.3879 0.3113
Ce1 0.0000 0.0000 0.5000
Nd1 0.5000 0.5000 0.0000
Tm1 0.3994 0.3994 0.3222
Tm2 0.6006 0.6006 0.6778
```

Top 10 peaks for 15° ≤ 2θ ≤ 90°, by angle:
two_theta  I/Imax
28.00  31.9
28.63  17.9
30.39  100.0
31.06  54.3
31.61  70.1
32.58  40.0
33.63  20.5
34.01  24.9
52.63  23.3
57.88  22.0